Starting from a structure optimized by DFT (PBE), the powder X-ray diffraction pattern of Eu5Cd2Sb5O was simulated for Cu Kα X-rays.

Cell and atoms:
abc: 11.244 11.244 14.851
angles: 90.00 90.00 155.90
Sites, in units of the cell vectors:
Eu (0.000, 0.000, 0.000)
Eu (0.000, 0.000, 0.500)
Eu (0.096, 0.904, 0.750)
Eu (0.107, 0.893, 0.250)
Eu (0.277, 0.723, 0.628)
Eu (0.277, 0.723, 0.872)
Eu (0.723, 0.277, 0.128)
Eu (0.723, 0.277, 0.372)
Eu (0.893, 0.107, 0.750)
Eu (0.904, 0.096, 0.250)
Cd (0.368, 0.632, 0.086)
Cd (0.368, 0.632, 0.414)
Cd (0.632, 0.368, 0.586)
Cd (0.632, 0.368, 0.914)
Sb (0.150, 0.850, 0.023)
Sb (0.150, 0.850, 0.477)
Sb (0.293, 0.707, 0.250)
Sb (0.497, 0.503, 0.151)
Sb (0.497, 0.503, 0.349)
Sb (0.503, 0.497, 0.651)
Sb (0.503, 0.497, 0.849)
Sb (0.707, 0.293, 0.750)
Sb (0.850, 0.150, 0.523)
Sb (0.850, 0.150, 0.977)
O (0.342, 0.658, 0.750)
O (0.658, 0.342, 0.250)

Principal peaks in the range 10° ≤ 2θ ≤ 90°, by angle:
2θ (°)  intensity
27.1  26
27.8  36
28.9  35
30.3  100
31.0  94
36.0  29
38.3  54
48.6  24

***

Starting from a structure optimized by DFT (PBE), the powder X-ray diffraction pattern of Y2MgSe4 was simulated for Cu Kα X-rays.

Cell and atoms:
abc: 14.179 8.266 6.845
angles: 90.00 90.00 90.00
Sites, in units of the cell vectors:
Y (0.000, 0.000, 0.000)
Y (0.000, 0.500, 0.000)
Y (0.235, 0.250, 0.496)
Y (0.265, 0.750, 0.996)
Y (0.500, 0.000, 0.500)
Y (0.500, 0.500, 0.500)
Y (0.735, 0.250, 0.004)
Y (0.765, 0.750, 0.504)
Mg (0.092, 0.750, 0.580)
Mg (0.408, 0.250, 0.080)
Mg (0.592, 0.750, 0.920)
Mg (0.908, 0.250, 0.420)
Se (0.073, 0.250, 0.250)
Se (0.092, 0.750, 0.211)
Se (0.169, 0.506, 0.759)
Se (0.169, 0.994, 0.759)
Se (0.331, 0.006, 0.259)
Se (0.331, 0.494, 0.259)
Se (0.408, 0.250, 0.711)
Se (0.427, 0.750, 0.750)
Se (0.573, 0.250, 0.250)
Se (0.592, 0.750, 0.289)
Se (0.669, 0.506, 0.741)
Se (0.669, 0.994, 0.741)
Se (0.831, 0.006, 0.241)
Se (0.831, 0.494, 0.241)
Se (0.908, 0.250, 0.789)
Se (0.927, 0.750, 0.750)

Principal peaks in the range 10° ≤ 2θ ≤ 90°, by angle:
2θ (°)  intensity
18.0  37
26.0  27
28.2  100
28.4  53
36.4  85
36.5  34
43.8  30
44.1  59

***

- Number 2 is which compound?
  Y2MgSe4